1.
Tl8Os8O27: computed X-ray powder pattern (Cu Kα (λ = 1.5418 Å)), based on a DFT-relaxed cell (PBE, the Materials Project).

Top 10 peaks for 10° ≤ 2θ ≤ 90°, sorted by position:
| 2θ/deg | I/Imax |
| --- | --- |
| 29.66 | 100 |
| 34.38 | 41 |
| 49.41 | 41 |
| 58.70 | 44 |
| 61.58 | 12 |
| 72.40 | 2 |
| 72.51 | 4 |
| 80.20 | 18 |
| 82.71 | 11 |
| 82.78 | 5 |

Cell and atoms:
```
data_Tl8Os8O27
_chemical_formula_sum 'Tl8 Os8 O27'
_cell_length_a 7.374
_cell_length_b 7.374
_cell_length_c 10.443
_cell_angle_alpha 90.00
_cell_angle_beta 90.00
_cell_angle_gamma 90.00
_symmetry_space_group_name_H-M 'P -4 m 2'
_symmetry_Int_Tables_number 115
loop_
_symmetry_equiv_pos_as_xyz
'x,y,z'
'y,-x,-z'
'-x,-y,z'
'-y,x,-z'
'-x,y,z'
'-y,-x,-z'
'x,-y,z'
'y,x,-z'
loop_
_atom_site_label
_atom_site_type_symbol
_atom_site_fract_x
_atom_site_fract_y
_atom_site_fract_z
Tl1 Tl 0.000 0.237 0.382
Tl2 Tl 0.249 0.500 0.127
Os1 Os 0.000 0.250 0.876
Os2 Os 0.250 0.500 0.626
O1 O 0.000 0.000 0.174
O2 O 0.000 0.500 0.248
O3 O 0.000 0.500 0.570
O4 O 0.000 0.500 0.948
O5 O 0.195 0.313 0.754
O6 O 0.199 0.199 0.000
O7 O 0.316 0.316 0.500
O8 O 0.500 0.500 0.000
O9 O 0.500 0.500 0.299
```



2.
SbTeO3: computed X-ray powder pattern (Cu Kα (λ = 1.5418 Å)), based on a DFT-relaxed cell (PBE, the Materials Project).

Top 9 peaks for 10° ≤ 2θ ≤ 90°, sorted by position:
| 2θ/deg | I/Imax |
| --- | --- |
| 21.29 | 1 |
| 30.29 | 100 |
| 37.32 | 2 |
| 43.37 | 30 |
| 53.81 | 40 |
| 63.00 | 19 |
| 71.49 | 17 |
| 79.57 | 6 |
| 87.45 | 21 |

Cell and atoms:
```
data_SbTeO3
_chemical_formula_sum 'Sb1 Te1 O3'
_cell_length_a 4.173
_cell_length_b 4.173
_cell_length_c 4.173
_cell_angle_alpha 90.00
_cell_angle_beta 90.00
_cell_angle_gamma 90.00
_symmetry_space_group_name_H-M 'P m -3 m'
_symmetry_Int_Tables_number 221
_symmetry_space_group_name_Hall '-P 4 2 3'
loop_
_atom_site_label
_atom_site_type_symbol
_atom_site_fract_x
_atom_site_fract_y
_atom_site_fract_z
Sb1 Sb 0.000 0.000 0.000
Te1 Te 0.500 0.500 0.500
O1 O 0.000 0.000 0.500
```



3.
NdPt: computed X-ray powder pattern (Cu Kα (λ = 1.5418 Å)), based on a DFT-relaxed cell (PBE, the Materials Project).

Top 10 peaks for 10° ≤ 2θ ≤ 90°, sorted by position:
| 2θ/deg | I/Imax |
| --- | --- |
| 19.70 | 23 |
| 31.03 | 76 |
| 33.68 | 44 |
| 34.87 | 100 |
| 38.63 | 52 |
| 38.97 | 100 |
| 52.17 | 26 |
| 52.42 | 24 |
| 66.98 | 23 |
| 70.13 | 23 |

Cell and atoms:
```
data_NdPt
_chemical_formula_sum 'Nd4 Pt4'
_cell_length_a 7.333
_cell_length_b 4.661
_cell_length_c 5.712
_cell_angle_alpha 90.00
_cell_angle_beta 90.00
_cell_angle_gamma 90.00
_symmetry_space_group_name_H-M 'P n m a'
_symmetry_Int_Tables_number 62
loop_
_symmetry_equiv_pos_as_xyz
'x,y,z'
'-x,-y,-z'
'-x+1/2,-y,z+1/2'
'x+1/2,y,-z+1/2'
'x+1/2,-y+1/2,-z+1/2'
'-x+1/2,y+1/2,z+1/2'
'-x,y+1/2,-z'
'x,-y+1/2,z'
loop_
_atom_site_label
_atom_site_type_symbol
_atom_site_fract_x
_atom_site_fract_y
_atom_site_fract_z
Nd1 Nd 0.181 0.250 0.137
Pt1 Pt 0.045 0.250 0.650
```



4.
Zr2N: computed X-ray powder pattern (Cu Kα (λ = 1.5418 Å)), based on a DFT-relaxed cell (PBE, the Materials Project).

Top 10 peaks for 10° ≤ 2θ ≤ 90°, sorted by position:
| 2θ/deg | I/Imax |
| --- | --- |
| 32.95 | 43 |
| 35.72 | 100 |
| 36.97 | 29 |
| 46.27 | 10 |
| 47.29 | 16 |
| 57.97 | 19 |
| 60.65 | 19 |
| 65.91 | 12 |
| 68.35 | 20 |
| 71.55 | 11 |

Cell and atoms:
```
data_Zr2N
_chemical_formula_sum 'Zr4 N2'
_cell_length_a 5.437
_cell_length_b 5.437
_cell_length_c 3.321
_cell_angle_alpha 90.00
_cell_angle_beta 90.00
_cell_angle_gamma 90.00
_symmetry_space_group_name_H-M 'P 42/m n m'
_symmetry_Int_Tables_number 136
_symmetry_space_group_name_Hall '-P 4n 2n'
loop_
_atom_site_label
_atom_site_type_symbol
_atom_site_fract_x
_atom_site_fract_y
_atom_site_fract_z
Zr1 Zr 0.204 0.204 0.000
N1 N 0.000 0.000 0.500
```



5.
Zn3Pt: computed X-ray powder pattern (Cu Kα (λ = 1.5418 Å)), based on a DFT-relaxed cell (PBE, the Materials Project).

Top 10 peaks for 10° ≤ 2θ ≤ 90°, sorted by position:
| 2θ/deg | I/Imax |
| --- | --- |
| 21.90 | 10 |
| 25.96 | 27 |
| 40.35 | 100 |
| 44.65 | 19 |
| 48.05 | 30 |
| 67.67 | 21 |
| 70.30 | 9 |
| 79.33 | 13 |
| 84.31 | 23 |
| 87.22 | 11 |

Cell and atoms:
```
data_Zn3Pt
_chemical_formula_sum 'Zn6 Pt2'
_cell_length_a 3.787
_cell_length_b 3.787
_cell_length_c 8.119
_cell_angle_alpha 90.00
_cell_angle_beta 90.00
_cell_angle_gamma 90.00
_symmetry_space_group_name_H-M 'I 4/m m m'
_symmetry_Int_Tables_number 139
_symmetry_space_group_name_Hall '-I 4 2'
loop_
_atom_site_label
_atom_site_type_symbol
_atom_site_fract_x
_atom_site_fract_y
_atom_site_fract_z
Zn1 Zn 0.000 0.000 0.000
Zn2 Zn 0.000 0.500 0.250
Pt1 Pt 0.000 0.000 0.500
```



6.
NbCo3: computed X-ray powder pattern (Cu Kα (λ = 1.5418 Å)), based on a DFT-relaxed cell (PBE, the Materials Project).

Top 10 peaks for 10° ≤ 2θ ≤ 90°, sorted by position:
| 2θ/deg | I/Imax |
| --- | --- |
| 24.36 | 5 |
| 34.72 | 4 |
| 42.87 | 100 |
| 49.91 | 47 |
| 56.29 | 2 |
| 62.23 | 2 |
| 73.27 | 28 |
| 78.53 | 1 |
| 83.69 | 1 |
| 88.81 | 33 |

Cell and atoms:
```
data_NbCo3
_chemical_formula_sum 'Nb1 Co3'
_cell_length_a 3.654
_cell_length_b 3.654
_cell_length_c 3.654
_cell_angle_alpha 90.00
_cell_angle_beta 90.00
_cell_angle_gamma 90.00
_symmetry_space_group_name_H-M 'P m -3 m'
_symmetry_Int_Tables_number 221
_symmetry_space_group_name_Hall '-P 4 2 3'
loop_
_atom_site_label
_atom_site_type_symbol
_atom_site_fract_x
_atom_site_fract_y
_atom_site_fract_z
Nb1 Nb 0.000 0.000 0.000
Co1 Co 0.000 0.500 0.500
```